# 1
# Zn6Pd5
Theoretical XRD peak list, Cu Kα X-rays. Input: a structure optimized by DFT (GGA-PBE).
Peak positions follow from Bragg's law for the DFT cell and can differ from measured ones.

Main lines, most intense first (15 to 90 degrees two-theta):
| 2θ (°) | d (Å) | I_rel | h k l |
| --- | --- | --- | --- |
| 42.30 | 2.136 | 100 | 1 2 3 |
| 41.74 | 2.164 | 52 | 2 0 0 |
| 76.59 | 1.244 | 31 | 3 2 3 |
| 60.50 | 1.530 | 17 | 2 0 6 |
| 77.76 | 1.228 | 15 | 2 4 0 |
| 62.23 | 1.492 | 7 | 0 4 0 |
| 37.77 | 2.382 | 6 | 1 1 4 |
| 16.35 | 5.423 | 5 | 0 1 1 |
| 25.42 | 3.504 | 5 | 0 1 3 |
| 28.96 | 3.083 | 4 | 1 1 2 |
| 21.65 | 4.104 | 3 | 1 0 1 |
| 37.26 | 2.413 | 2 | 1 2 1 |

Structural model:
```
data_Zn6Pd5
_chemical_formula_sum 'Zn12 Pd10'
_cell_length_a 4.3256
_cell_length_b 5.9670
_cell_length_c 12.9935
_cell_angle_alpha 90.00
_cell_angle_beta 90.00
_cell_angle_gamma 90.00
_space_group_name_H-M_alt 'I m m m'
_space_group_IT_number 71
_space_group_name_Hall '-I 2 2'
loop_
_atom_site_label
_atom_site_type_symbol
_atom_site_fract_x
_atom_site_fract_y
_atom_site_fract_z
Zn1 Zn 0.0000 0.2271 0.0000
Zn2 Zn 0.0000 0.2619 0.3389
Pd1 Pd 0.0000 0.0000 0.1732
Pd2 Pd 0.0000 0.0000 0.5000
Pd3 Pd 0.0000 0.5000 0.1602
```



# 2
# PuPaVPd
Theoretical XRD peak list, Cu Kα X-rays. Input: a structure optimized by DFT (GGA-PBE).
Peak positions follow from Bragg's law for the DFT cell and can differ from measured ones.

Main lines, most intense first (15 to 90 degrees two-theta):
| 2θ (°) | d (Å) | I_rel | h k l |
| --- | --- | --- | --- |
| 37.96 | 2.370 | 100 | 2 2 0 |
| 68.57 | 1.369 | 36 | 4 2 2 |
| 22.97 | 3.871 | 29 | 1 1 1 |
| 54.76 | 1.676 | 17 | 4 0 0 |
| 44.83 | 2.022 | 16 | 3 1 1 |
| 81.15 | 1.185 | 11 | 4 4 0 |
| 60.16 | 1.538 | 7 | 3 3 1 |
| 85.72 | 1.133 | 6 | 5 3 1 |
| 73.38 | 1.290 | 5 | 5 1 1 |
| 26.59 | 3.352 | 1 | 2 0 0 |

Structural model:
```
data_PuPaVPd
_chemical_formula_sum 'Pu4 Pa4 V4 Pd4'
_cell_length_a 6.7048
_cell_length_b 6.7048
_cell_length_c 6.7048
_cell_angle_alpha 90.00
_cell_angle_beta 90.00
_cell_angle_gamma 90.00
_space_group_name_H-M_alt 'F -4 3 m'
_space_group_IT_number 216
_space_group_name_Hall 'F -4 2 3'
loop_
_atom_site_label
_atom_site_type_symbol
_atom_site_fract_x
_atom_site_fract_y
_atom_site_fract_z
Pu1 Pu 0.0000 0.0000 0.0000
Pa1 Pa 0.2500 0.2500 0.2500
V1 V 0.0000 0.0000 0.5000
Pd1 Pd 0.2500 0.2500 0.7500
```



# 3
# La5PrGa2
Theoretical XRD peak list, Cu Kα X-rays. Input: a structure optimized by DFT (GGA-PBE).
Peak positions follow from Bragg's law for the DFT cell and can differ from measured ones.

Main lines, most intense first (15 to 90 degrees two-theta):
| 2θ (°) | d (Å) | I_rel | h k l |
| --- | --- | --- | --- |
| 32.56 | 2.750 | 100 | 1 1 0 |
| 58.09 | 1.588 | 26 | 3 0 0 |
| 25.72 | 3.463 | 25 | 1 0 4 |
| 46.73 | 1.944 | 13 | 2 0 6 |
| 56.58 | 1.627 | 12 | 1 1 10 |
| 29.00 | 3.079 | 9 | 1 0 5 |
| 68.17 | 1.376 | 8 | 2 2 0 |
| 42.46 | 2.129 | 7 | 1 1 6 |
| 41.94 | 2.154 | 7 | 2 0 4 |
| 36.44 | 2.466 | 7 | 1 0 7 |
| 54.07 | 1.696 | 7 | 2 1 4 |
| 77.62 | 1.230 | 6 | 3 1 6 |

Structural model:
```
data_La5PrGa2
_chemical_formula_sum 'La10 Pr2 Ga4'
_cell_length_a 5.5024
_cell_length_b 5.5024
_cell_length_c 20.1708
_cell_angle_alpha 90.00
_cell_angle_beta 90.00
_cell_angle_gamma 120.00
_space_group_name_H-M_alt 'P 63/m m c'
_space_group_IT_number 194
_space_group_name_Hall '-P 6c 2c'
loop_
_atom_site_label
_atom_site_type_symbol
_atom_site_fract_x
_atom_site_fract_y
_atom_site_fract_z
La1 La 0.0000 0.0000 0.1514
La2 La 0.3333 0.6667 0.0572
La3 La 0.3333 0.6667 0.2500
Pr1 Pr 0.3333 0.6667 0.7500
Ga1 Ga 0.3333 0.6667 0.5971
```